Starting from a cell relaxed with GGA-PBE, the PXRD pattern of CdPt17 was computed for Cu Kα.
Kinematic intensities with the Lorentz-polarization factor, no thermal factor.

Largest 6 diffraction maxima, in order of rising 2θ, 2θ from 15° to 90°:
two_theta	Rel. int.
38.88	40
39.56	28
39.71	100
44.55	24
46.10	41
67.42	29

Cell and atoms:
a b c (Å): 4.8109 5.5588 34.1675
angles (deg): 90.00 90.18 90.00
Fractional coordinates of all 36 atoms:
1 Cd 0.1657 0.2500 0.2875
2 Cd 0.8343 0.7500 0.7125
3 Pt 0.0000 0.0000 0.0000
4 Pt 0.9998 0.0031 0.2046
5 Pt 0.9998 0.4969 0.2046
6 Pt 0.0000 0.5000 0.0000
7 Pt 0.0002 0.5031 0.7954
8 Pt 0.0002 0.9969 0.7954
9 Pt 0.1660 0.2500 0.8646
10 Pt 0.1659 0.7500 0.8636
11 Pt 0.1672 0.2500 0.0683
12 Pt 0.1683 0.7500 0.0680
13 Pt 0.1699 0.7500 0.2718
14 Pt 0.3327 0.9997 0.9320
15 Pt 0.3327 0.5003 0.9320
16 Pt 0.3339 0.0010 0.1364
17 Pt 0.3338 0.0059 0.7286
18 Pt 0.3338 0.4941 0.7286
19 Pt 0.3339 0.4990 0.1364
20 Pt 0.4940 0.2500 0.2058
21 Pt 0.4999 0.2500 0.0002
22 Pt 0.4997 0.2500 0.7968
23 Pt 0.5001 0.7500 0.9998
24 Pt 0.5003 0.7500 0.2032
25 Pt 0.5060 0.7500 0.7942
26 Pt 0.6661 0.5010 0.8636
27 Pt 0.6662 0.5059 0.2714
28 Pt 0.6662 0.9941 0.2714
29 Pt 0.6661 0.9990 0.8636
30 Pt 0.6673 0.0003 0.0680
31 Pt 0.6673 0.4997 0.0680
32 Pt 0.8301 0.2500 0.7282
33 Pt 0.8317 0.2500 0.9320
34 Pt 0.8328 0.7500 0.9317
35 Pt 0.8341 0.2500 0.1364
36 Pt 0.8340 0.7500 0.1354



Starting from a cell relaxed with GGA-PBE, the PXRD pattern of Tm3Zr3FeTe2 was computed for Cu Kα.
Kinematic intensities with the Lorentz-polarization factor, no thermal factor.

Largest 6 diffraction maxima, in order of rising 2θ, 2θ from 15° to 90°:
two_theta	Rel. int.
32.65	100
34.18	47
35.18	56
38.93	32
53.47	19
63.43	21

Cell and atoms:
a b c (Å): 8.0147 8.0147 3.7617
angles (deg): 90.00 90.00 120.00
Fractional coordinates of all 9 atoms:
1 Tm 0.0000 0.3948 0.0000
2 Tm 0.3948 0.0000 0.0000
3 Tm 0.6052 0.6052 0.0000
4 Zr 0.0000 0.7678 0.5000
5 Zr 0.2322 0.2322 0.5000
6 Zr 0.7678 0.0000 0.5000
7 Fe 0.0000 0.0000 0.0000
8 Te 0.3333 0.6667 0.5000
9 Te 0.6667 0.3333 0.5000



Starting from a cell relaxed with GGA-PBE, the PXRD pattern of BaGdSO was computed for Cu Kα.
Kinematic intensities with the Lorentz-polarization factor, no thermal factor.

Largest 6 diffraction maxima, in order of rising 2θ, 2θ from 15° to 90°:
two_theta	Rel. int.
25.06	100
28.18	66
30.07	54
30.31	94
36.05	42
48.94	39

Cell and atoms:
a b c (Å): 6.5062 6.9865 16.9675
angles (deg): 90.00 90.00 90.00
Fractional coordinates of all 32 atoms:
1 Ba 0.1359 0.1874 0.0720
2 Ba 0.1359 0.3126 0.5720
3 Ba 0.3641 0.6874 0.0720
4 Ba 0.3641 0.8126 0.5720
5 Ba 0.6359 0.1874 0.4280
6 Ba 0.6359 0.3126 0.9280
7 Ba 0.8641 0.6874 0.4280
8 Ba 0.8641 0.8126 0.9280
9 Gd 0.1598 0.1654 0.7977
10 Gd 0.1598 0.3346 0.2977
11 Gd 0.3402 0.6654 0.7977
12 Gd 0.3402 0.8346 0.2977
13 Gd 0.6598 0.1654 0.7023
14 Gd 0.6598 0.3346 0.2023
15 Gd 0.8402 0.6654 0.7023
16 Gd 0.8402 0.8346 0.2023
17 S 0.1466 0.0571 0.4176
18 S 0.1466 0.4429 0.9176
19 S 0.3534 0.5571 0.4176
20 S 0.3534 0.9429 0.9176
21 S 0.6466 0.0571 0.0824
22 S 0.6466 0.4429 0.5824
23 S 0.8534 0.5571 0.0824
24 S 0.8534 0.9429 0.5824
25 O 0.0562 0.6551 0.2727
26 O 0.0562 0.8449 0.7727
27 O 0.4438 0.1551 0.2727
28 O 0.4438 0.3449 0.7727
29 O 0.5562 0.6551 0.2273
30 O 0.5562 0.8449 0.7273
31 O 0.9438 0.1551 0.2273
32 O 0.9438 0.3449 0.7273



Starting from a cell relaxed with GGA-PBE, the PXRD pattern of AgH5Au was computed for Cu Kα.
Kinematic intensities with the Lorentz-polarization factor, no thermal factor.

Largest 6 diffraction maxima, in order of rising 2θ, 2θ from 15° to 90°:
two_theta	Rel. int.
26.05	100
26.64	95
29.14	81
33.37	52
36.09	41
37.79	40

Cell and atoms:
a b c (Å): 3.5046 4.5566 4.8458
angles (deg): 93.89 98.74 104.19
Fractional coordinates of all 7 atoms:
1 Ag 0.0000 0.0000 0.0000
2 H 0.0963 0.3196 0.7816
3 H 0.2112 0.2666 0.3278
4 H 0.5000 0.0000 0.0000
5 H 0.7888 0.7334 0.6722
6 H 0.9037 0.6804 0.2184
7 Au 0.0000 0.5000 0.5000



Starting from a cell relaxed with GGA-PBE, the PXRD pattern of Li2Sc2GaSnIr2 was computed for Cu Kα.
Kinematic intensities with the Lorentz-polarization factor, no thermal factor.

Largest 6 diffraction maxima, in order of rising 2θ, 2θ from 15° to 90°:
two_theta	Rel. int.
24.13	100
39.87	84
40.04	42
47.00	17
47.29	34
72.61	29

Cell and atoms:
a b c (Å): 4.5043 4.5043 6.4220
angles (deg): 90.00 90.00 90.00
Fractional coordinates of all 8 atoms:
1 Li 0.0000 0.5000 0.2340
2 Li 0.5000 0.0000 0.7660
3 Sc 0.0000 0.0000 0.0000
4 Sc 0.5000 0.5000 0.5000
5 Ga 0.5000 0.5000 0.0000
6 Sn 0.0000 0.0000 0.5000
7 Ir 0.0000 0.5000 0.7583
8 Ir 0.5000 0.0000 0.2417



Starting from a cell relaxed with GGA-PBE, the PXRD pattern of Ga2Cu5Ni was computed for Cu Kα.
Kinematic intensities with the Lorentz-polarization factor, no thermal factor.

Largest 3 diffraction maxima, in order of rising 2θ, 2θ from 15° to 90°:
two_theta	Rel. int.
44.09	100
64.13	15
81.11	30

Cell and atoms:
a b c (Å): 4.1066 4.1066 5.8115
angles (deg): 90.00 90.00 90.00
Fractional coordinates of all 8 atoms:
1 Ga 0.0000 0.0000 0.0000
2 Ga 0.5000 0.5000 0.5000
3 Cu 0.0000 0.0000 0.5000
4 Cu 0.0000 0.5000 0.2498
5 Cu 0.0000 0.5000 0.7502
6 Cu 0.5000 0.0000 0.2498
7 Cu 0.5000 0.0000 0.7502
8 Ni 0.5000 0.5000 0.0000



Starting from a cell relaxed with GGA-PBE, the PXRD pattern of PuOs was computed for Cu Kα.
Kinematic intensities with the Lorentz-polarization factor, no thermal factor.

Largest 6 diffraction maxima, in order of rising 2θ, 2θ from 15° to 90°:
two_theta	Rel. int.
32.36	100
46.42	75
57.71	27
67.74	12
77.08	35
86.09	27

Cell and atoms:
a b c (Å): 5.5333 5.5333 5.5333
angles (deg): 90.00 90.00 90.00
Fractional coordinates of all 8 atoms:
1 Pu 0.0000 0.0000 0.0000
2 Pu 0.0000 0.5000 0.5000
3 Pu 0.5000 0.0000 0.5000
4 Pu 0.5000 0.5000 0.0000
5 Os 0.0000 0.0000 0.5000
6 Os 0.0000 0.5000 0.0000
7 Os 0.5000 0.0000 0.0000
8 Os 0.5000 0.5000 0.5000



Starting from a cell relaxed with GGA-PBE, the PXRD pattern of Mg3Cd2Au3 was computed for Cu Kα.
Kinematic intensities with the Lorentz-polarization factor, no thermal factor.

Largest 6 diffraction maxima, in order of rising 2θ, 2θ from 15° to 90°:
two_theta	Rel. int.
19.43	36
33.33	45
38.87	100
39.45	19
52.58	25
73.81	18

Cell and atoms:
a b c (Å): 6.2083 6.2083 4.5683
angles (deg): 90.00 90.00 120.00
Fractional coordinates of all 8 atoms:
1 Mg 0.1702 0.3403 0.0000
2 Mg 0.1702 0.8298 0.0000
3 Mg 0.6597 0.8298 0.0000
4 Cd 0.0000 0.0000 0.5000
5 Cd 0.6667 0.3333 0.0000
6 Au 0.0090 0.5045 0.5000
7 Au 0.4955 0.5045 0.5000
8 Au 0.4955 0.9910 0.5000